Diffraction record for MgTe2Mo2W2Se4S2. The XRD peak list is computed, not measured: it uses a PBE-relaxed structure and Cu Kα, 1.54184 Å.
Kinematic intensities with the Lorentz-polarization factor, no thermal factor.

Crystal structure
abc: 5.778 3.336 45.826
angles: 90.00 90.08 90.00
Space group Cm (No. 8)
Inequivalent atoms, fractional coordinates:
Mg 0.000 0.000 0.000 x2
Te 0.166 0.500 0.432 x2
Te 0.167 0.500 0.515 x2
Mo 0.167 0.500 0.902 x2
Mo 0.333 0.000 0.473 x2
W 0.167 0.500 0.285 x2
W 0.333 0.000 0.106 x2
Se 0.166 0.500 0.069 x2
Se 0.167 0.500 0.142 x2
Se 0.333 0.000 0.866 x2
Se 0.334 0.000 0.939 x2
S 0.333 0.000 0.252 x2
S 0.334 0.000 0.318 x2

Largest 10 diffraction maxima, most intense first, 2θ = 10–80°:
2θ/deg	d [Å]	intensity	h k l
40.36	2.235	100	2 0 13
11.59	7.638	83	0 0 6
34.78	2.580	82	2 0 8
30.97	2.887	71	2 0 0
55.06	1.668	45	3 1 0
41.70	2.166	37	1 1 14
32.49	2.756	36	2 0 -5
37.90	2.374	33	2 0 -11
56.04	1.641	28	3 1 -5
47.61	1.910	20	0 0 24